# Ho6CoRu2
Theoretical PXRD pattern, λ = 1.5418 Å (Cu Kα). Input: a crystal structure in Alexandria, relaxed with PBE.
Kinematic intensities with the Lorentz-polarization factor, no thermal factor.

Most intense lines, 10° ≤ 2θ ≤ 80°, sorted by position:
- 2θ = 29.78°, I 42
- 2θ = 30.43°, I 67
- 2θ = 31.03°, I 51
- 2θ = 31.67°, I 100
- 2θ = 32.16°, I 59
- 2θ = 32.31°, I 53
- 2θ = 33.92°, I 90
- 2θ = 34.32°, I 36
- 2θ = 34.61°, I 42
- 2θ = 37.94°, I 37
- 2θ = 39.46°, I 51
- 2θ = 47.99°, I 36

```
Ho6CoRu2
1.0
6.415 0.000 0.000
0.000 7.330 0.000
-6.171 0.000 9.333
Ho Co Ru
12 2 4
Cartesian
-0.914 0.319 2.280
-3.999 3.346 6.947
1.033 4.916 0.629
-2.052 6.079 5.295
2.165 1.311 0.624
-0.921 2.354 5.291
1.165 4.976 4.042
-1.921 6.020 8.708
2.296 1.251 4.037
-0.789 2.414 8.704
4.243 3.984 2.386
1.158 7.012 7.052
0.122 0.000 4.666
3.208 3.665 0.000
-2.760 0.887 7.149
0.326 2.778 2.482
-0.082 4.552 6.850
3.004 6.443 2.184
```


# Lu2ScSn
Theoretical PXRD pattern, λ = 1.5418 Å (Cu Kα). Input: a crystal structure in Alexandria, relaxed with PBE.
Kinematic intensities with the Lorentz-polarization factor, no thermal factor.

Most intense lines, 10° ≤ 2θ ≤ 80°, sorted by position:
- 2θ = 13.74°, I 7
- 2θ = 22.17°, I 20
- 2θ = 31.55°, I 70
- 2θ = 35.75°, I 100
- 2θ = 42.47°, I 8
- 2θ = 45.22°, I 26
- 2θ = 58.94°, I 47
- 2θ = 65.88°, I 9
- 2θ = 66.79°, I 16
- 2θ = 74.88°, I 12
- 2θ = 75.74°, I 11
- 2θ = 77.28°, I 11

```
Lu2ScSn
1.0
4.010 0.000 0.000
0.000 4.010 0.000
0.000 0.000 6.443
Lu Sc Sn
2 1 1
Cartesian
0.000 0.000 1.581
0.000 0.000 4.863
2.005 2.005 3.222
2.005 2.005 0.000
```


# Cs12AsO4
Theoretical PXRD pattern, λ = 1.5418 Å (Cu Kα). Input: a crystal structure in Alexandria, relaxed with PBE.
Kinematic intensities with the Lorentz-polarization factor, no thermal factor.

Most intense lines, 10° ≤ 2θ ≤ 80°, sorted by position:
- 2θ = 10.85°, I 19
- 2θ = 15.36°, I 23
- 2θ = 21.79°, I 25
- 2θ = 24.38°, I 62
- 2θ = 24.46°, I 20
- 2θ = 26.77°, I 82
- 2θ = 28.96°, I 100
- 2θ = 30.96°, I 29
- 2θ = 34.74°, I 21
- 2θ = 45.83°, I 41
- 2θ = 45.94°, I 21
- 2θ = 48.62°, I 35

```
Cs12AsO4
1.0
-5.752 5.775 5.778
5.752 -5.775 5.778
5.752 5.775 -5.778
Cs As O
12 1 4
Cartesian
5.752 3.617 -3.240
3.592 2.562 0.000
7.912 2.562 0.000
2.523 5.775 -2.175
3.229 0.000 3.603
0.000 2.158 2.538
5.752 3.617 3.240
2.523 5.775 2.175
3.229 0.000 7.952
-2.160 3.213 5.778
2.160 3.213 5.778
0.000 2.158 9.017
0.000 0.000 5.778
2.876 2.888 -2.889
2.876 -2.888 2.889
-2.876 2.888 2.889
2.876 2.888 2.889
```


# SrPr2Tl2
Theoretical PXRD pattern, λ = 1.5418 Å (Cu Kα). Input: a crystal structure in Alexandria, relaxed with PBE.
Kinematic intensities with the Lorentz-polarization factor, no thermal factor.

Most intense lines, 10° ≤ 2θ ≤ 80°, sorted by position:
- 2θ = 15.47°, I 20
- 2θ = 24.30°, I 11
- 2θ = 27.84°, I 18
- 2θ = 30.15°, I 63
- 2θ = 32.94°, I 100
- 2θ = 34.78°, I 14
- 2θ = 39.31°, I 10
- 2θ = 46.75°, I 11
- 2θ = 47.02°, I 11
- 2θ = 55.40°, I 24
- 2θ = 56.88°, I 21
- 2θ = 58.39°, I 18

```
SrPr2Tl2
1.0
1.943 -11.459 0.000
1.943 11.459 0.000
0.000 0.000 3.865
Sr Pr Tl
1 2 2
Cartesian
0.000 0.000 0.000
1.943 7.314 0.000
1.943 -7.314 0.000
1.943 2.228 1.933
1.943 -2.228 1.933
```


Q: Number 3 is which compound?
A: Cs12AsO4


Q: What is the formula in the second record?
A: Lu2ScSn